Structure and simulated powder diffraction line list of CuGe2Te6Au (a GGA-PBE-relaxed structure; a wavelength of 1.5418 Å).
Lines closer than 0.1° are merged.

Crystal structure
abc: 9.323 9.323 7.104
angles: 99.40 99.40 85.40
Atoms (fractional coordinates):
Cu: 0.250 0.750 0.750
Cu: 0.750 0.250 0.250
Ge: 0.102 0.274 0.783
Ge: 0.274 0.102 0.283
Ge: 0.726 0.898 0.717
Ge: 0.898 0.726 0.217
Te: 0.024 0.214 0.105
Te: 0.136 0.605 0.416
Te: 0.214 0.024 0.605
Te: 0.308 0.478 0.868
Te: 0.395 0.864 0.084
Te: 0.478 0.308 0.368
Te: 0.522 0.692 0.632
Te: 0.605 0.136 0.916
Te: 0.692 0.522 0.132
Te: 0.786 0.976 0.395
Te: 0.864 0.395 0.584
Te: 0.976 0.786 0.895
Au: 0.397 0.603 0.250
Au: 0.603 0.397 0.750

Largest 10 diffraction maxima, by intensity, 10 to 90 degrees two-theta:
- 2θ = 30.1°, I 100
- 2θ = 24.9°, I 70
- 2θ = 44.5°, I 63
- 2θ = 43.9°, I 57
- 2θ = 31.6°, I 47
- 2θ = 26.4°, I 42
- 2θ = 42.9°, I 33
- 2θ = 21.2°, I 32
- 2θ = 43.1°, I 31
- 2θ = 26.2°, I 25